1.
Theoretical powder diffraction line list
Compound: BaLaCo2O5
Radiation: CuKα
Structure: a DFT-relaxed cell (PBE+U, Alexandria)

Cell and atoms:
Cell: 3.9343 4.0105 7.8800 Å, 90.00 90.00 90.00°
Sites, in units of the cell vectors:
Ba (0.0000, 0.0000, 0.0000)
La (0.0000, 0.0000, 0.5000)
Co (0.5000, 0.5000, 0.2538)
Co (0.5000, 0.5000, 0.7462)
O (0.0000, 0.5000, 0.3056)
O (0.0000, 0.5000, 0.6944)
O (0.5000, 0.0000, 0.3002)
O (0.5000, 0.0000, 0.6998)
O (0.5000, 0.5000, 0.0000)

Principal peaks in the range 10 to 90 degrees two-theta, in order of rising 2θ:
22.6°, d = 3.937 Å, I 12
31.9°, d = 2.810 Å, I 100
32.2°, d = 2.784 Å, I 54
39.4°, d = 2.287 Å, I 19
45.2°, d = 2.005 Å, I 16
46.1°, d = 1.968 Å, I 27
56.6°, d = 1.627 Å, I 21
57.1°, d = 1.612 Å, I 42
66.6°, d = 1.405 Å, I 17
75.0°, d = 1.266 Å, I 8
76.4°, d = 1.246 Å, I 8
84.8°, d = 1.143 Å, I 8

2.
Theoretical powder diffraction line list
Compound: Ba2LaCo2O6
Radiation: CuKα
Structure: a DFT-relaxed cell (PBE+U, Alexandria)

Cell and atoms:
Cell: 7.0840 7.0840 7.0840 Å, 51.21 51.21 51.21°
Sites, in units of the cell vectors:
Ba (0.2076, 0.2076, 0.2076)
Ba (0.7924, 0.7924, 0.7924)
La (0.0000, 0.0000, 0.0000)
Co (0.4216, 0.4216, 0.4216)
Co (0.5784, 0.5784, 0.5784)
O (0.2359, 0.7466, 0.7466)
O (0.2534, 0.2534, 0.7641)
O (0.2534, 0.7641, 0.2534)
O (0.7466, 0.2359, 0.7466)
O (0.7466, 0.7466, 0.2359)
O (0.7641, 0.2534, 0.2534)

Principal peaks in the range 10 to 90 degrees two-theta, in order of rising 2θ:
17.4°, d = 5.096 Å, I 13
25.6°, d = 3.477 Å, I 18
29.2°, d = 3.062 Å, I 100
29.5°, d = 3.025 Å, I 92
39.2°, d = 2.298 Å, I 18
42.0°, d = 2.152 Å, I 39
51.7°, d = 1.768 Å, I 20
51.9°, d = 1.761 Å, I 38
52.6°, d = 1.740 Å, I 14
53.9°, d = 1.701 Å, I 17
60.5°, d = 1.531 Å, I 19
68.7°, d = 1.366 Å, I 16

Number 2 is which compound? Ba2LaCo2O6